For Ho6Cu2Pb, a GGA-PBE-relaxed structure gives the computed PXRD pattern in this record (Cu Ka).
Lines closer than 0.1° are merged.

Main lines, low angle first (2θ from 10° to 90°):
- 2θ 30.07, d 2.971, I = 27.2
- 2θ 31.57, d 2.834, I = 100.0
- 2θ 33.56, d 2.670, I = 27.5
- 2θ 33.77, d 2.654, I = 55.2
- 2θ 34.53, d 2.598, I = 26.1
- 2θ 34.70, d 2.585, I = 17.4
- 2θ 35.18, d 2.551, I = 15.6
- 2θ 38.51, d 2.338, I = 17.9
- 2θ 55.23, d 1.663, I = 14.3
- 2θ 59.66, d 1.550, I = 24.6

Cell and atoms:
Unit cell a=9.352 b=9.832 c=10.341 alpha=90.00 beta=90.00 gamma=90.00
Space group Immm (No. 71)
Unique sites:
Ho  0.000  0.203  0.234
Ho  0.191  0.500  0.179
Ho  0.213  0.314  0.500
Cu  0.000  0.352  0.000
Cu  0.000  0.500  0.381
Pb  0.000  0.000  0.000
Pb  0.000  0.000  0.500